No. 1
Li9Fe4P4O20: simulated powder diffraction line list (Cu Ka), based on a cell relaxed with PBE+U.
Kinematic intensities with the Lorentz-polarization factor, no thermal factor.

Largest 10 diffraction maxima, low angle first, 15° ≤ 2θ ≤ 90°:
- hkl 1 0 -1, d 4.696, I 379
- hkl 0 1 2, d 4.621, I 524
- hkl 0 1 -2, d 4.594, I 611
- hkl 1 0 3, d 3.611, I 1000
- hkl 1 1 2, d 3.370, I 167
- hkl -1 1 2, d 3.357, I 191
- hkl 0 2 0, d 2.820, I 247
- hkl 0 1 5, d 2.786, I 313
- hkl 0 1 -5, d 2.773, I 332
- hkl 2 0 0, d 2.456, I 564

Cell and atoms:
Lattice parameters (Å, degrees): 4.9133 5.6403 15.9747 89.65 89.96 89.75
Space group P1 (No. 1)
Symmetry-distinct sites (fractional):
Li1 0.0000 0.0000 0.0000
Li2 0.0001 0.0103 0.5774
Li3 0.0004 0.9892 0.3885
Li4 0.4928 0.3141 0.1846
Li5 0.4969 0.3498 0.7846
Li6 0.4983 0.8395 0.0897
Li7 0.5041 0.8217 0.4903
Li8 0.9918 0.5073 0.1005
Li9 0.9936 0.5062 0.6824
Fe1 0.0017 0.5086 0.8898
Fe2 0.0047 0.0078 0.7898
Fe3 0.5052 0.3296 0.3854
Fe4 0.5190 0.8185 0.2909
P1 0.0026 0.0008 0.1833
P2 0.5066 0.3337 0.9929
P3 0.5165 0.8445 0.6885
P4 0.9949 0.4953 0.4934
O1 0.0432 0.3659 0.5771
O2 0.0501 0.8351 0.8885
O3 0.0969 0.8358 0.1095
O4 0.0978 0.3338 0.7933
O5 0.1060 0.2514 0.1645
O6 0.1055 0.7531 0.4913
O7 0.1062 0.9097 0.2696
O8 0.1214 0.3391 0.4219
O9 0.1838 0.3514 0.9833
O10 0.1915 0.8569 0.6956
O11 0.5489 0.4765 0.2840
O12 0.5941 0.0768 0.0042
O13 0.5971 0.4972 0.0644
O14 0.6015 0.0105 0.3923
O15 0.6076 0.9270 0.6025
O16 0.6171 0.5975 0.7136
O17 0.6214 0.4294 0.9062
O18 0.6234 0.0254 0.7571
O19 0.6814 0.5102 0.4741
O20 0.6819 0.9945 0.1852


No. 2
Li2FeP2O7: simulated powder diffraction line list (Cu Ka), based on a cell relaxed with PBE+U.
Kinematic intensities with the Lorentz-polarization factor, no thermal factor.

Largest 10 diffraction maxima, low angle first, 15° ≤ 2θ ≤ 90°:
- hkl 1 -1 1, d 4.282, I 647
- hkl 1 1 -1, d 3.824, I 319
- hkl 0 2 2, d 3.789, I 1000
- hkl 0 1 -2, d 3.375, I 435
- hkl 2 1 0, d 3.156, I 483
- hkl 2 0 2, d 3.117, I 775
- hkl 1 -2 1, d 2.961, I 181
- hkl 2 2 0, d 2.663, I 207
- hkl 1 3 3, d 2.653, I 196
- hkl -1 1 3, d 2.561, I 438

Cell and atoms:
Lattice parameters (Å, degrees): 7.0835 8.9262 10.1853 65.05 70.16 78.10
Space group P-1 (No. 2)
Symmetry-distinct sites (fractional):
Li1 0.0304 0.0149 0.2908
Li2 0.1349 0.2420 0.9738
Li3 0.3647 0.7576 0.5261
Li4 0.4698 0.9847 0.2094
Fe1 0.1592 0.3380 0.6541
Fe2 0.3405 0.6624 0.8454
P1 0.0865 0.3915 0.1732
P2 0.2204 0.8570 0.0794
P3 0.2803 0.1429 0.4204
P4 0.4137 0.6085 0.3266
O1 0.0068 0.1567 0.8680
O2 0.0362 0.7424 0.8145
O3 0.0483 0.4608 0.8034
O4 0.1748 0.1509 0.5769
O5 0.1880 0.3119 0.3089
O6 0.2291 0.9946 0.4030
O7 0.2407 0.5657 0.4736
O8 0.2583 0.4354 0.0255
O9 0.2711 0.0052 0.0971
O10 0.3143 0.6880 0.1897
O11 0.3252 0.8498 0.9225
O12 0.4517 0.5397 0.6956
O13 0.4634 0.2578 0.6854
O14 0.4924 0.8439 0.6319


No. 3
Li2FeP2O8: simulated powder diffraction line list (Cu Ka), based on a cell relaxed with PBE+U.
Kinematic intensities with the Lorentz-polarization factor, no thermal factor.

Largest 10 diffraction maxima, low angle first, 15° ≤ 2θ ≤ 90°:
- hkl 0 1 1, d 3.688, I 1000
- hkl 0 1 2, d 2.780, I 306
- hkl 1 1 0, d 2.464, I 219
- hkl 1 1 1, d 2.335, I 129
- hkl 1 0 3, d 2.120, I 115
- hkl 1 1 2, d 2.047, I 208
- hkl 0 2 2, d 1.844, I 94
- hkl 3 -2 1, d 1.575, I 113
- hkl 2 -1 4, d 1.470, I 122
- hkl 3 0 0, d 1.423, I 127

Cell and atoms:
Lattice parameters (Å, degrees): 4.9278 4.9278 7.3263 90.00 90.00 120.00
Space group P-3 (No. 147)
Symmetry-distinct sites (fractional):
Li1 0.3333 0.6667 0.1974
Fe1 0.0000 0.0000 0.5000
P1 0.3333 0.6667 0.7282
O1 0.0457 0.6902 0.6631
O2 0.3333 0.6667 0.9379


No. 4
LiFeP2O7: simulated powder diffraction line list (Cu Ka), based on a cell relaxed with PBE+U.
Kinematic intensities with the Lorentz-polarization factor, no thermal factor.

Largest 10 diffraction maxima, low angle first, 15° ≤ 2θ ≤ 90°:
- hkl 1 1 -1, d 4.796, I 672
- hkl 0 2 0, d 4.170, I 199
- hkl 1 1 1, d 4.065, I 365
- hkl 0 2 1, d 3.769, I 231
- hkl 1 1 2, d 3.048, I 628
- hkl 0 2 2, d 3.029, I 1000
- hkl 2 0 -2, d 2.932, I 681
- hkl 1 3 2, d 2.119, I 167
- hkl 3 1 -2, d 2.053, I 321
- hkl 1 3 4, d 1.593, I 296

Cell and atoms:
Lattice parameters (Å, degrees): 6.5466 8.3391 9.0775 90.00 103.82 90.00
Space group Cc (No. 9)
Symmetry-distinct sites (fractional):
Li1 0.0000 0.1951 0.0000
Fe1 0.0120 0.1807 0.4945
P1 0.2231 0.4932 0.6982
P2 0.2906 0.0020 0.7944
O1 0.0042 0.4813 0.7448
O2 0.1250 0.0096 0.6427
O3 0.2267 0.3385 0.6061
O4 0.2332 0.3553 0.1055
O5 0.2626 0.1478 0.3861
O6 0.3082 0.1558 0.8895
O7 0.3846 0.4951 0.8525


No. 5
LiFe2P2O8: simulated powder diffraction line list (Cu Ka), based on a cell relaxed with PBE+U.
Kinematic intensities with the Lorentz-polarization factor, no thermal factor.

Largest 10 diffraction maxima, low angle first, 15° ≤ 2θ ≤ 90°:
- hkl 0 1 1, d 5.683, I 616
- hkl 0 1 2, d 4.188, I 475
- hkl 1 1 0, d 4.096, I 1000
- hkl 1 1 -1, d 3.858, I 166
- hkl 1 1 1, d 3.796, I 187
- hkl 0 2 2, d 2.842, I 314
- hkl 0 0 4, d 2.683, I 169
- hkl 2 0 0, d 2.588, I 302
- hkl 1 2 2, d 2.475, I 154
- hkl 0 2 6, d 1.578, I 144

Cell and atoms:
Lattice parameters (Å, degrees): 5.1790 6.7003 10.7350 90.00 91.72 90.00
Space group Pc (No. 7)
Symmetry-distinct sites (fractional):
Li1 0.0000 0.2407 0.0000
Fe1 0.0024 0.4684 0.2497
Fe2 0.4962 0.0521 0.4198
P1 0.5005 0.2235 0.1553
P2 0.9969 0.2779 0.5072
O1 0.2920 0.2491 0.4887
O2 0.3606 0.4096 0.1995
O3 0.3854 0.1689 0.0205
O4 0.4470 0.0437 0.2448
O5 0.7936 0.2551 0.1467
O6 0.8604 0.0880 0.4454
O7 0.9201 0.4706 0.4320
O8 0.9267 0.2893 0.6432